Entry 1:
For La4Sm7Sc, a crystal structure in Alexandria, relaxed with GGA-PBE gives the theoretical PXRD pattern in this record (λ = 1.5418 Å (Cu Kα)).
Kinematic intensities with the Lorentz-polarization factor, no thermal factor.

Crystal structure
```
data_La4Sm7Sc
_space_group_name_H-M_alt 'C 1 2/m 1'
_space_group_IT_number 12
_space_group_name_Hall '-C 2y'
_cell_length_a 11.619
_cell_length_b 5.452
_cell_length_c 13.530
_cell_angle_alpha 90.00
_cell_angle_beta 104.76
_cell_angle_gamma 90.00
loop_
_atom_site_label
_atom_site_fract_x
_atom_site_fract_y
_atom_site_fract_z
La1 0.032 0.000 0.281
La2 0.182 0.500 0.761
Sm1 0.000 0.500 0.500
Sm2 0.089 0.500 0.129
Sm3 0.138 0.000 0.966
Sm4 0.229 0.500 0.400
Sc1 0.000 0.000 0.500
```

Main lines, low angle first (2θ = 5–70°):
(hkl)	Position (°2θ)	Rel. int.
1 1 3	28.87	1000
3 1 -2	29.28	950
0 2 0	32.86	439
2 0 -5	33.91	319
4 0 1	34.32	292
2 2 -5	47.94	241
4 2 1	48.25	223
1 3 3	56.24	170
3 3 -2	56.49	189
6 2 -4	60.74	100

***

Entry 2:
For Li2GaAu3, a crystal structure in Alexandria, relaxed with GGA-PBE gives the theoretical PXRD pattern in this record (λ = 1.5418 Å (Cu Kα)).
Kinematic intensities with the Lorentz-polarization factor, no thermal factor.

Crystal structure
```
data_Li2GaAu3
_space_group_name_H-M_alt 'C m m m'
_space_group_IT_number 65
_space_group_name_Hall '-C 2 2'
_cell_length_a 4.265
_cell_length_b 12.879
_cell_length_c 3.487
_cell_angle_alpha 90.00
_cell_angle_beta 90.00
_cell_angle_gamma 90.00
loop_
_atom_site_label
_atom_site_fract_x
_atom_site_fract_y
_atom_site_fract_z
Li1 0.000 0.166 0.000
Ga1 0.000 0.500 0.000
Au1 0.000 0.000 0.500
Au2 0.000 0.329 0.500
```

Main lines, low angle first (2θ = 5–70°):
(hkl)	Position (°2θ)	Rel. int.
0 0 1	25.55	432
1 3 0	29.52	604
1 3 1	39.43	1000
0 6 0	42.10	206
2 0 0	42.39	205
0 6 1	49.89	144
2 0 1	50.15	145
2 6 0	61.27	137
1 3 2	61.38	159
2 0 2	69.67	151

***

Entry 3:
For Bi4Pd15Se, a crystal structure in Alexandria, relaxed with GGA-PBE gives the theoretical PXRD pattern in this record (λ = 1.5418 Å (Cu Kα)).
Kinematic intensities with the Lorentz-polarization factor, no thermal factor.

Crystal structure
```
data_Bi4Pd15Se
_space_group_name_H-M_alt 'P 4/m m m'
_space_group_IT_number 123
_space_group_name_Hall '-P 4 2'
_cell_length_a 4.127
_cell_length_b 4.127
_cell_length_c 20.494
_cell_angle_alpha 90.00
_cell_angle_beta 90.00
_cell_angle_gamma 90.00
loop_
_atom_site_label
_atom_site_fract_x
_atom_site_fract_y
_atom_site_fract_z
Bi1 0.000 0.000 0.102
Bi2 0.000 0.000 0.307
Pd1 0.000 0.500 0.000
Pd2 0.000 0.500 0.202
Pd3 0.000 0.500 0.403
Pd4 0.500 0.500 0.100
Pd5 0.500 0.500 0.301
Pd6 0.500 0.500 0.500
Se1 0.000 0.000 0.500
```

Main lines, low angle first (2θ = 5–70°):
(hkl)	Position (°2θ)	Rel. int.
1 0 0	21.53	40
0 0 5	21.68	19
1 1 0	30.63	18
1 0 5	30.74	33
1 1 5	37.84	1000
2 0 0	43.87	333
0 0 10	44.19	157
2 1 0	49.41	21
2 2 0	63.79	109
2 0 10	64.03	206

***

What did the third record say?
For Bi4Pd15Se, a crystal structure in Alexandria, relaxed with GGA-PBE gives the theoretical PXRD pattern in this record (λ = 1.5418 Å (Cu Kα)).
Kinematic intensities with the Lorentz-polarization factor, no thermal factor.

Crystal structure
```
data_Bi4Pd15Se
_space_group_name_H-M_alt 'P 4/m m m'
_space_group_IT_number 123
_space_group_name_Hall '-P 4 2'
_cell_length_a 4.127
_cell_length_b 4.127
_cell_length_c 20.494
_cell_angle_alpha 90.00
_cell_angle_beta 90.00
_cell_angle_gamma 90.00
loop_
_atom_site_label
_atom_site_fract_x
_atom_site_fract_y
_atom_site_fract_z
Bi1 0.000 0.000 0.102
Bi2 0.000 0.000 0.307
Pd1 0.000 0.500 0.000
Pd2 0.000 0.500 0.202
Pd3 0.000 0.500 0.403
Pd4 0.500 0.500 0.100
Pd5 0.500 0.500 0.301
Pd6 0.500 0.500 0.500
Se1 0.000 0.000 0.500
```

Main lines, low angle first (2θ = 5–70°):
(hkl)	Position (°2θ)	Rel. int.
1 0 0	21.53	40
0 0 5	21.68	19
1 1 0	30.63	18
1 0 5	30.74	33
1 1 5	37.84	1000
2 0 0	43.87	333
0 0 10	44.19	157
2 1 0	49.41	21
2 2 0	63.79	109
2 0 10	64.03	206